(1)
Calculated powder diffraction line list
Compound: CsRbH2Pt
Radiation: CuKα
Structure: the PBE geometry in OQMD

Cell and atoms:
```
5
Lattice="2.690 1.553 6.029 -2.690 1.553 6.029 0.000 -3.106 6.029" Properties=species:S:1:pos:R:3 pbc="T T T"
Cs 0.000 0.000 0.000
Rb 0.000 0.000 8.885
H 0.000 0.000 11.756
H 0.000 0.000 15.116
Pt 0.000 0.000 13.445
```

The 12 most intense peaks (2θ = 5–70°), sorted by position:
14.69°, rel. 40; 19.67°, rel. 51; 27.49°, rel. 100; 33.30°, rel. 63; 36.58°, rel. 27; 39.90°, rel. 13; 43.71°, rel. 28; 44.55°, rel. 27; 56.04°, rel. 27; 56.74°, rel. 13; 59.52°, rel. 12; 67.40°, rel. 16



(2)
Calculated powder diffraction line list
Compound: Cs2ZrTe4H2
Radiation: CuKα
Structure: the PBE geometry in OQMD

Cell and atoms:
```
9
Lattice="3.089 -7.850 0.000 3.089 7.850 0.000 0.000 0.000 6.168" Properties=species:S:1:pos:R:3 pbc="T T T"
Cs 1.544 3.925 1.535
Cs 1.544 -3.925 4.633
Zr 0.000 0.000 3.084
Te 1.633 1.459 4.696
Te 1.633 -1.459 1.472
Te 4.544 1.459 1.472
Te 4.544 -1.459 4.696
H 0.000 0.000 0.000
H 3.089 0.000 3.084
```

The 12 most intense peaks (2θ = 5–70°), sorted by position:
26.59°, rel. 100; 28.93°, rel. 30; 31.14°, rel. 3; 34.27°, rel. 9; 41.37°, rel. 19; 45.44°, rel. 28; 49.86°, rel. 34; 54.77°, rel. 9; 56.84°, rel. 10; 59.99°, rel. 3; 66.73°, rel. 7; 67.91°, rel. 5



(3)
Calculated powder diffraction line list
Compound: Cs2HfNbS6
Radiation: CuKα
Structure: the PBE geometry in OQMD

Cell and atoms:
```
10
Lattice="3.537 2.042 5.787 -3.537 2.042 5.787 0.000 -4.084 5.787" Properties=species:S:1:pos:R:3 pbc="T T T"
Cs 0.000 0.000 0.000
Cs 0.000 0.000 8.667
Hf 0.000 0.000 13.022
Nb 0.000 0.000 4.341
S -1.748 -1.009 5.761
S 0.000 -2.018 2.917
S -1.747 1.009 2.917
S 1.748 -1.009 5.761
S 1.747 1.009 2.917
S 0.000 2.018 5.761
```

The 12 most intense peaks (2θ = 5–70°), sorted by position:
15.33°, rel. 5; 17.72°, rel. 4; 25.16°, rel. 100; 29.60°, rel. 4; 30.94°, rel. 7; 35.88°, rel. 49; 39.22°, rel. 2; 44.33°, rel. 44; 51.65°, rel. 33; 58.29°, rel. 20; 64.40°, rel. 3; 64.52°, rel. 8



(4)
Calculated powder diffraction line list
Compound: Cs3Hf2P5S18
Radiation: CuKα
Structure: the PBE geometry in OQMD

Cell and atoms:
```
56
Lattice="4.754 -5.026 0.000 4.754 5.026 0.000 -2.741 0.000 34.192" Properties=species:S:1:pos:R:3 pbc="T T T"
Cs 3.383 4.047 17.096
Cs 1.524 1.436 30.481
Cs 2.891 1.112 24.105
Cs 2.894 -1.436 13.385
Cs 4.262 -1.112 7.009
Cs 4.754 -4.047 0.000
Hf 4.494 4.127 9.951
Hf 4.041 2.947 3.424
Hf 2.670 -2.947 20.520
Hf 3.124 -4.127 27.047
P 1.407 1.853 10.611
P 4.527 3.530 6.672
P 3.957 2.534 12.803
P 5.575 2.239 0.567
P 0.036 -1.853 27.706
P 4.729 0.312 19.875
P 6.100 -0.312 2.779
P 2.587 -2.534 29.899
P 4.204 -2.239 17.663
P 3.156 -3.530 23.768
S 0.222 1.849 19.306
S -0.343 1.117 22.195
S 4.019 4.549 12.483
S 1.840 2.004 12.693
S 2.967 2.524 5.794
S 3.570 2.469 0.899
S 2.767 3.267 27.538
S 1.028 -1.117 5.099
S 2.148 0.053 9.961
S 0.777 -0.053 27.057
S 1.592 -1.849 2.210
S 3.609 2.767 33.017
S 5.449 2.455 8.163
S 4.540 1.795 14.538
S 4.907 1.832 11.133
S 4.740 2.334 20.067
S 4.490 0.417 3.810
S 0.469 -2.004 29.789
S 3.119 -0.417 20.906
S 1.597 -2.524 22.890
S 5.965 0.105 0.684
S 2.199 -2.469 17.995
S 5.413 1.546 26.644
S 4.594 -0.105 17.780
S 3.170 -1.795 31.634
S 3.536 -1.832 28.229
S 7.920 0.350 3.439
S 4.138 -3.267 10.442
S 4.078 -2.455 25.259
S 6.549 -0.350 20.535
S 6.111 -2.334 2.971
S 4.979 -2.767 15.921
S 6.784 -1.546 9.548
S 8.685 0.203 7.661
S 2.649 -4.549 29.579
S 7.314 -0.203 24.757
```

The 12 most intense peaks (2θ = 5–70°), sorted by position:
5.17°, rel. 27; 10.35°, rel. 39; 12.95°, rel. 43; 16.04°, rel. 33; 17.71°, rel. 46; 17.84°, rel. 56; 18.76°, rel. 100; 19.62°, rel. 29; 20.75°, rel. 31; 26.09°, rel. 77; 28.45°, rel. 27; 29.50°, rel. 33